Diffraction record for Sr3CdGa2Ag6. The powder X-ray diffraction pattern is simulated, not measured: it uses a DFT-relaxed cell (PBE, Alexandria) and Cu Kα, 1.54184 Å.
Neutral-atom scattering factors, no anomalous dispersion.

Principal peaks in the range 2θ from 10° to 80°, low angle first:
hkl 1 0 1, 2θ 19.1, I 24; hkl 1 1 0, 2θ 28.7, I 20; hkl 0 1 3, 2θ 33.8, I 25; hkl 0 2 1, 2θ 34.7, I 100; hkl 1 1 2, 2θ 34.9, I 74; hkl 2 0 2, 2θ 38.8, I 54; hkl 0 2 3, 2θ 44.9, I 31; hkl 0 3 2, 2θ 54.9, I 21; hkl 2 2 0, 2θ 59.3, I 31; hkl 1 2 4, 2θ 60.9, I 18

Structure:
a b c (Å): 6.2301 6.2301 9.1332
angles (deg): 90.00 90.00 120.00
Space group P-3m1 (No. 164)
Inequivalent atoms, fractional coordinates:
Sr (0.0000, 0.0000, 0.0000) (multiplicity 1)
Sr (0.3333, 0.6667, 0.6175) (multiplicity 2)
Cd (0.0000, 0.0000, 0.5000) (multiplicity 1)
Ga (0.3333, 0.6667, 0.0193) (multiplicity 2)
Ag (0.1801, 0.3601, 0.2736) (multiplicity 6)

Diffraction record for Zr6NbIr5. The powder X-ray diffraction pattern is simulated, not measured: it uses a DFT-relaxed cell (PBE, Alexandria) and Cu Kα, 1.54184 Å.
Neutral-atom scattering factors, no anomalous dispersion.

Principal peaks in the range 2θ from 10° to 80°, low angle first:
hkl 0 2 0, 2θ 26.6, I 6; hkl 1 0 1, 2θ 27.0, I 11; hkl 1 2 1, 2θ 38.2, I 100; hkl 0 0 3, 2θ 38.6, I 49; hkl 2 2 -1, 2θ 47.4, I 5; hkl 0 4 0, 2θ 54.7, I 9; hkl 2 0 2, 2θ 55.7, I 17; hkl 0 4 3, 2θ 68.9, I 18; hkl 3 2 -3, 2θ 69.5, I 26; hkl 3 2 0, 2θ 69.6, I 9

Structure:
a b c (Å): 4.667 6.711 7.390
angles (deg): 90.00 108.47 90.00
Space group P2/m (No. 10)
Inequivalent atoms, fractional coordinates:
Zr (0.000, 0.248, 0.000) (multiplicity 2)
Zr (0.333, 0.249, 0.666) (multiplicity 4)
Nb (0.500, 0.500, 0.000) (multiplicity 1)
Ir (0.168, 0.000, 0.336) (multiplicity 2)
Ir (0.168, 0.500, 0.336) (multiplicity 2)
Ir (0.500, 0.000, 0.000) (multiplicity 1)

Diffraction record for UPd2F11. The powder X-ray diffraction pattern is simulated, not measured: it uses a DFT-relaxed cell (PBE, Alexandria) and Cu Kα, 1.54184 Å.
Neutral-atom scattering factors, no anomalous dispersion.

Principal peaks in the range 2θ from 10° to 80°, low angle first:
hkl 1 1 0, 2θ 14.7, I 38; hkl 1 1 2, 2θ 21.4, I 100; hkl 1 2 1, 2θ 22.7, I 15; hkl 0 2 2, 2θ 23.7, I 53; hkl 2 1 1, 2θ 26.3, I 19; hkl 1 3 0, 2θ 29.4, I 18; hkl 1 3 4, 2θ 43.5, I 29; hkl 2 2 4, 2θ 43.7, I 16; hkl 3 3 2, 2θ 47.9, I 22; hkl 4 2 0, 2θ 51.5, I 16

Structure:
a b c (Å): 7.599 9.951 11.388
angles (deg): 90.00 90.00 90.00
Space group Ibam (No. 72)
Inequivalent atoms, fractional coordinates:
U (0.000, 0.000, 0.250) (multiplicity 4)
Pd (0.138, 0.322, 0.000) (multiplicity 8)
F (0.000, 0.500, 0.000) (multiplicity 4)
F (0.089, 0.169, 0.150) (multiplicity 16)
F (0.136, 0.275, 0.500) (multiplicity 8)
F (0.219, 0.065, 0.355) (multiplicity 16)

Diffraction record for KSn2TeO2. The powder X-ray diffraction pattern is simulated, not measured: it uses a DFT-relaxed cell (PBE, Alexandria) and Cu Kα, 1.54184 Å.
Neutral-atom scattering factors, no anomalous dispersion.

Principal peaks in the range 2θ from 10° to 80°, low angle first:
hkl 0 0 1, 2θ 10.7, I 82; hkl 1 0 -1, 2θ 16.5, I 24; hkl 1 1 1, 2θ 23.3, I 34; hkl 0 1 2, 2θ 26.2, I 86; hkl 0 2 0, 2θ 30.0, I 61; hkl 2 1 0, 2θ 31.0, I 100; hkl 2 1 1, 2θ 33.6, I 22; hkl 0 1 3, 2θ 35.9, I 38; hkl 2 1 -2, 2θ 36.7, I 28; hkl 2 1 -3, 2θ 43.8, I 21

Structure:
a b c (Å): 6.625 5.963 8.291
angles (deg): 90.00 94.68 90.00
Space group P2_1/m (No. 11)
Inequivalent atoms, fractional coordinates:
K (0.157, 0.250, 0.421) (multiplicity 2)
Sn (0.153, 0.250, 0.872) (multiplicity 2)
Sn (0.368, 0.750, 0.757) (multiplicity 2)
Te (0.309, 0.750, 0.112) (multiplicity 2)
O (0.158, 0.002, 0.701) (multiplicity 4)

Diffraction record for Ho3GaTe2. The powder X-ray diffraction pattern is simulated, not measured: it uses a DFT-relaxed cell (PBE, Alexandria) and Cu Kα, 1.54184 Å.
Neutral-atom scattering factors, no anomalous dispersion.

Principal peaks in the range 2θ from 10° to 80°, low angle first:
hkl 0 2 0, 2θ 29.5, I 100; hkl 0 0 6, 2θ 41.0, I 12; hkl 1 2 3, 2θ 42.2, I 50; hkl 2 0 0, 2θ 43.2, I 12; hkl 0 2 6, 2θ 51.3, I 12; hkl 2 2 0, 2θ 53.2, I 13; hkl 2 0 6, 2θ 61.1, I 7; hkl 1 4 3, 2θ 69.3, I 21; hkl 1 2 9, 2θ 75.5, I 6; hkl 3 2 3, 2θ 78.5, I 8

Structure:
a b c (Å): 4.188 6.056 13.207
angles (deg): 90.00 90.00 90.00
Space group Immm (No. 71)
Inequivalent atoms, fractional coordinates:
Ho (0.000, 0.000, 0.000) (multiplicity 2)
Ho (0.000, 0.000, 0.349) (multiplicity 4)
Ga (0.000, 0.500, 0.000) (multiplicity 2)
Te (0.000, 0.500, 0.327) (multiplicity 4)

Diffraction record for Pr2Nd3TmTe6. The powder X-ray diffraction pattern is simulated, not measured: it uses a DFT-relaxed cell (PBE, Alexandria) and Cu Kα, 1.54184 Å.
Neutral-atom scattering factors, no anomalous dispersion.

Principal peaks in the range 2θ from 10° to 80°, low angle first:
hkl 6 0 0, 2θ 28.1, I 49; hkl 1 1 -2, 2θ 28.2, I 100; hkl 2 0 -4, 2θ 40.0, I 19; hkl 5 1 2, 2θ 40.1, I 37; hkl 7 1 -2, 2θ 40.4, I 37; hkl 0 2 0, 2θ 40.6, I 19; hkl 4 0 4, 2θ 49.3, I 10; hkl 6 2 0, 2θ 50.1, I 20; hkl 2 2 -4, 2θ 58.3, I 13; hkl 3 1 -6, 2θ 65.6, I 16

Structure:
a b c (Å): 19.540 4.440 9.015
angles (deg): 90.00 102.72 90.00
Space group C2/m (No. 12)
Inequivalent atoms, fractional coordinates:
Pr (0.171, 0.000, 0.337) (multiplicity 4)
Nd (0.000, 0.500, 0.500) (multiplicity 2)
Nd (0.175, 0.000, 0.836) (multiplicity 4)
Tm (0.000, 0.500, 0.000) (multiplicity 2)
Te (0.002, 0.000, 0.763) (multiplicity 4)
Te (0.158, 0.500, 0.077) (multiplicity 4)
Te (0.164, 0.500, 0.584) (multiplicity 4)